No. 1
Structure and calculated powder diffraction line list of LiNiP2O7 (the GGA+U geometry in the Materials Project; Cu Kα X-rays).

Top 10 peaks for 2θ from 10° to 80°, low angle first:
2θ/deg	intensity
17.1	100
21.4	40
21.8	27
22.7	15
24.3	41
24.7	29
30.6	22
31.2	22
35.4	22
39.1	21

```
LiNiP2O7
1.0
5.079 0.000 0.000
0.000 13.329 0.000
-4.888 0.000 8.300
Li Ni P O
4 4 8 28
direct
0.014 0.129 0.360 Li
0.014 0.371 0.860 Li
0.986 0.629 0.140 Li
0.986 0.871 0.640 Li
0.038 0.169 0.736 Ni
0.038 0.331 0.236 Ni
0.962 0.669 0.764 Ni
0.962 0.831 0.264 Ni
0.268 0.680 0.536 P
0.268 0.820 0.036 P
0.472 0.532 0.775 P
0.472 0.968 0.275 P
0.528 0.032 0.725 P
0.528 0.468 0.225 P
0.732 0.180 0.964 P
0.732 0.320 0.464 P
0.034 0.689 0.357 O
0.034 0.811 0.857 O
0.152 0.729 0.639 O
0.152 0.771 0.139 O
0.217 0.542 0.815 O
0.217 0.958 0.315 O
0.263 0.109 0.630 O
0.263 0.391 0.130 O
0.318 0.563 0.583 O
0.318 0.937 0.083 O
0.395 0.571 0.205 O
0.395 0.929 0.705 O
0.422 0.224 0.923 O
0.422 0.276 0.423 O
0.578 0.724 0.577 O
0.578 0.776 0.077 O
0.605 0.071 0.295 O
0.605 0.429 0.795 O
0.682 0.063 0.917 O
0.682 0.437 0.417 O
0.737 0.609 0.870 O
0.737 0.891 0.370 O
0.783 0.042 0.685 O
0.783 0.458 0.185 O
0.848 0.229 0.861 O
0.848 0.271 0.361 O
0.966 0.189 0.143 O
0.966 0.311 0.643 O
```



No. 2
Structure and calculated powder diffraction line list of Li2Ni5P4O16 (the GGA+U geometry in the Materials Project; Cu Kα X-rays).

Top 10 peaks for 2θ from 10° to 80°, low angle first:
2θ/deg	intensity
19.4	100
20.1	100
23.1	81
28.1	47
29.1	46
29.4	45
32.8	64
33.6	40
35.2	48
40.5	43

```
Li2Ni5P4O16
1.0
5.196 0.000 0.000
-1.134 7.755 0.000
-0.530 -2.847 7.336
Li Ni P O
2 5 4 16
direct
0.129 0.042 0.283 Li
0.871 0.958 0.717 Li
0.135 0.406 0.670 Ni
0.398 0.745 0.230 Ni
0.500 0.000 0.000 Ni
0.602 0.255 0.770 Ni
0.865 0.594 0.330 Ni
0.141 0.303 0.029 P
0.352 0.794 0.579 P
0.648 0.206 0.421 P
0.859 0.697 0.971 P
0.145 0.794 0.055 O
0.155 0.493 0.185 O
0.155 0.825 0.433 O
0.224 0.637 0.631 O
0.269 0.174 0.104 O
0.291 0.341 0.876 O
0.389 0.232 0.509 O
0.402 0.983 0.747 O
0.598 0.017 0.253 O
0.611 0.768 0.491 O
0.709 0.659 0.124 O
0.731 0.826 0.896 O
0.776 0.363 0.369 O
0.845 0.175 0.567 O
0.845 0.507 0.815 O
0.855 0.206 0.945 O
```